1.
Structure and theoretical powder diffractogram of LiFe2B2O6 (the PBE+U geometry in the Materials Project; copper Kα).
Neutral-atom scattering factors, no anomalous dispersion.

Principal peaks in the range 2θ = 10–90°, in order of falling intensity:
hkl 1 1 2, d = 4.143 Å, I = 100
hkl 0 0 4, d = 2.548 Å, I = 68
hkl 1 -1 0, d = 4.529 Å, I = 50
hkl 0 2 3, d = 3.380 Å, I = 34
hkl 0 2 1, d = 4.561 Å, I = 32
hkl 1 1 -1, d = 3.425 Å, I = 28
hkl -1 3 1, d = 2.617 Å, I = 25
hkl 2 0 1, d = 2.625 Å, I = 23
hkl 0 2 -1, d = 3.411 Å, I = 21
hkl 0 4 1, d = 2.226 Å, I = 20

Structural model:
```
44
Lattice="5.2502 0.0000 0.0000 0.0905 9.1094 0.0000 2.5596 4.4667 10.1924" Properties=species:S:1:pos:R:3 pbc="T T T"
Li 0.0000 0.0000 0.0000
Li 2.4627 4.6428 4.9611
Li 4.3763 7.6719 7.6297
Li 5.1054 9.1798 5.0450
Fe 2.5499 7.6285 9.8551
Fe 1.7364 6.1930 2.1219
Fe 2.5725 10.6636 4.6934
Fe 4.3474 4.5717 7.2892
Fe 5.3037 12.0038 9.7952
Fe 4.2883 1.7049 2.1002
Fe 5.0877 6.1946 4.6809
Fe 6.9481 9.3219 7.3583
B 2.6248 10.6751 9.8437
B 1.8030 9.2270 2.1700
B 2.5273 7.7036 4.7070
B 4.3003 10.6809 7.1424
B 5.1179 6.0298 9.7501
B 4.3361 4.6784 2.2154
B 5.1624 3.0861 4.7278
B 6.9872 6.1814 7.2074
O 1.2757 3.0480 4.7331
O 2.2951 7.3612 7.6396
O 1.7663 8.8672 4.9700
O 1.8669 6.5324 4.3294
O 2.5259 5.0709 6.9755
O 1.3697 6.1346 0.1697
O 3.0072 10.7250 6.6164
O 2.3697 8.0212 1.8432
O 2.6214 10.2376 2.7180
O 4.4752 7.2158 9.6009
O 4.4877 4.8310 9.3262
O 2.9878 4.8085 2.3108
O 3.8869 7.7450 4.8428
O 4.8628 11.8296 7.6643
O 4.4657 4.2041 5.1851
O 4.9855 9.4927 7.0787
O 4.4356 1.9595 4.2624
O 5.5918 6.0946 6.9620
O 3.8635 1.4760 0.0951
O 4.9017 3.4766 1.7777
O 5.1820 5.6998 2.6322
O 7.2432 11.8861 9.7898
O 7.2738 9.5306 9.3748
O 5.7354 9.4965 1.9333
```

2.
Structure and theoretical powder diffractogram of LiFe2B2O6 (the PBE+U geometry in the Materials Project; copper Kα).
Neutral-atom scattering factors, no anomalous dispersion.

Principal peaks in the range 2θ = 10–90°, in order of falling intensity:
hkl 0 2 -1, d = 4.132 Å, I = 100
hkl 0 0 4, d = 2.528 Å, I = 64
hkl 1 -1 0, d = 4.535 Å, I = 51
hkl 0 2 2, d = 3.432 Å, I = 48
hkl 1 1 -2, d = 3.351 Å, I = 32
hkl 1 1 0, d = 4.572 Å, I = 31
hkl 2 0 0, d = 2.627 Å, I = 24
hkl 1 -3 0, d = 2.623 Å, I = 24
hkl 1 3 0, d = 2.646 Å, I = 20
hkl 0 4 1, d = 2.238 Å, I = 17

Structural model:
```
44
Lattice="5.2560 0.0000 0.0000 0.0968 9.1376 0.0000 0.1808 0.2209 10.1135" Properties=species:S:1:pos:R:3 pbc="T T T"
Li 0.0000 0.0000 0.0000
Li 0.9375 1.6316 7.2852
Li 2.6447 4.7140 5.0243
Li 3.5423 6.1069 2.3175
Fe 0.9139 7.6854 7.3095
Fe 0.9479 4.4864 2.2451
Fe 2.8288 7.7890 9.8121
Fe 2.7066 1.6145 4.7927
Fe 3.5421 3.2500 7.3756
Fe 3.5543 9.1386 2.2857
Fe 5.3057 6.2209 4.8329
Fe 5.4104 3.2983 9.8829
B 0.9314 4.6762 7.2278
B 0.8894 7.5675 2.1766
B 2.6703 7.6673 4.7458
B 2.7584 1.6853 9.8131
B 3.5556 0.1709 7.3676
B 3.5404 3.0933 2.3189
B 5.4410 6.3002 9.9051
B 5.3348 3.1833 4.8718
O 0.1708 8.6768 1.9120
O 0.2867 3.5758 7.8367
O 0.3084 6.4276 2.7664
O 0.6449 4.3831 4.4178
O 0.6495 4.8856 0.0837
O 0.9327 7.4072 9.4705
O 0.8874 2.1103 5.0991
O 1.3821 1.7667 9.7296
O 1.3627 7.5925 5.1952
O 2.2533 4.6525 6.9756
O 2.2450 7.4889 1.7957
O 2.8744 8.2494 7.8407
O 2.8696 1.2882 6.8414
O 2.9035 4.3006 2.4378
O 2.9524 1.9295 2.8147
O 3.2166 8.8851 4.3923
O 3.1970 0.2730 0.1001
O 3.4090 6.5014 4.6100
O 3.5655 2.7465 9.4467
O 3.9634 3.1527 5.1352
O 4.1000 6.4310 10.0825
O 4.8162 3.0214 1.7394
O 4.9164 0.1756 7.4543
O 5.4077 5.7763 6.8231
```

3.
Structure and theoretical powder diffractogram of LiFe2B2O6 (the PBE+U geometry in the Materials Project; copper Kα).
Neutral-atom scattering factors, no anomalous dispersion.

Principal peaks in the range 2θ = 10–90°, in order of falling intensity:
hkl 0 0 4, d = 2.545 Å, I = 100
hkl 1 1 -1, d = 4.153 Å, I = 83
hkl 0 2 0, d = 4.532 Å, I = 79
hkl -1 1 2, d = 3.370 Å, I = 52
hkl -1 1 1, d = 4.141 Å, I = 51
hkl 1 3 0, d = 2.635 Å, I = 41
hkl 1 -1 2, d = 3.418 Å, I = 39
hkl 2 -2 1, d = 2.232 Å, I = 33
hkl 1 -3 0, d = 2.615 Å, I = 32
hkl 1 1 2, d = 3.457 Å, I = 32

Structural model:
```
44
Lattice="5.3042 0.0000 0.0000 0.0824 9.0645 0.0000 0.2362 0.1386 10.1810" Properties=species:S:1:pos:R:3 pbc="T T T"
Li 0.0000 0.0000 0.0000
Li 1.0969 4.6359 2.8293
Li 2.9354 4.6092 10.1708
Li 3.8508 0.1659 7.5088
Fe 0.0603 6.0162 0.2087
Fe 1.0437 7.7010 2.7744
Fe 1.1926 1.7498 7.8205
Fe 2.8354 7.7158 5.2032
Fe 2.6825 1.4624 0.2647
Fe 3.7122 3.1218 2.7328
Fe 3.8599 6.1840 7.8250
Fe 5.4394 3.1047 5.2188
B 0.0670 3.0625 0.1753
B 1.1852 7.7452 7.9049
B 1.0581 1.6028 2.7423
B 2.7379 7.5586 0.1455
B 2.8836 1.6574 5.4005
B 3.6469 6.1649 2.6738
B 3.8188 3.1444 7.8590
B 5.4683 6.1523 5.2197
O 0.4154 6.6469 8.2594
O 0.3703 0.4168 2.6892
O 0.4273 2.7696 3.2302
O 0.6090 9.0076 8.0011
O 0.6600 4.9044 4.9579
O 0.9092 2.0231 9.8375
O 0.8586 7.2749 4.7658
O 0.8250 4.1889 0.3606
O 1.4069 7.5968 0.6141
O 1.5474 1.8741 5.8244
O 2.3396 1.7129 2.2748
O 2.5126 7.6074 7.5139
O 2.9618 7.3163 3.0594
O 3.0026 4.9710 2.5610
O 3.1157 1.9712 8.1659
O 3.3032 4.3773 8.1322
O 3.5323 6.4647 9.9234
O 3.4530 0.4458 5.5943
O 3.4937 8.6893 0.0320
O 3.5668 2.7483 4.8881
O 4.0327 3.0246 0.5072
O 4.2527 6.3268 5.8896
O 5.0858 2.9991 7.2905
O 5.0292 6.2589 2.3633
```

4.
Structure and theoretical powder diffractogram of LiFe2B2O6 (the PBE+U geometry in the Materials Project; copper Kα).
Neutral-atom scattering factors, no anomalous dispersion.

Principal peaks in the range 2θ = 10–90°, in order of falling intensity:
hkl 1 1 0, d = 4.557 Å, I = 100
hkl -1 1 1, d = 4.136 Å, I = 100
hkl 0 0 4, d = 2.526 Å, I = 84
hkl 1 3 0, d = 2.635 Å, I = 57
hkl 0 2 2, d = 3.362 Å, I = 45
hkl 2 -2 1, d = 2.227 Å, I = 33
hkl 1 -1 2, d = 3.399 Å, I = 32
hkl 3 3 0, d = 1.518 Å, I = 30
hkl 0 2 -2, d = 3.422 Å, I = 30
hkl 2 0 0, d = 2.627 Å, I = 29

Structural model:
```
44
Lattice="5.2542 0.0000 0.0000 -0.0074 9.1393 0.0000 -0.0048 -0.1972 10.1028" Properties=species:S:1:pos:R:3 pbc="T T T"
Li 0.0000 0.0000 0.0000
Li 0.1739 -0.0324 5.0910
Li 1.8482 5.8506 2.5801
Li 2.8079 4.4517 5.2630
Fe 0.0089 3.0252 0.3760
Fe 0.1915 5.9961 5.4747
Fe 1.8926 2.8000 2.8803
Fe 1.9105 8.8843 7.9393
Fe 2.6580 7.4398 0.2613
Fe 2.8375 1.4122 5.4701
Fe 4.4801 7.4952 2.8859
Fe 4.4824 4.3323 8.0312
B 0.0896 6.0657 0.4324
B 0.1426 2.9058 5.3893
B 1.8438 2.8227 7.9347
B 1.8835 8.9451 2.9687
B 2.7142 1.4004 0.3986
B 2.7544 7.4688 5.3930
B 4.5118 4.4535 2.9275
B 4.5119 7.3350 7.9680
O 0.0645 3.4279 2.4993
O 0.0800 8.4131 8.1497
O 0.5255 2.9341 8.3628
O 0.5285 8.8346 3.1075
O 1.4264 5.9840 0.6395
O 1.4809 3.0057 4.9278
O 1.9651 2.4437 0.9431
O 1.9777 0.0916 10.0063
O 2.0541 8.5963 5.8687
O 2.1398 6.2615 5.2767
O 2.3119 1.5754 7.5224
O 2.5193 0.9905 3.3093
O 2.6092 7.8303 2.5465
O 2.6660 3.9019 7.8415
O 3.1465 4.3219 3.0733
O 3.1623 7.4437 8.2739
O 4.0662 1.4315 0.3471
O 4.0961 7.6214 4.9851
O 4.6024 4.8115 10.0077
O 4.6553 7.2531 0.8293
O 4.7348 4.0665 5.8149
O 4.7794 1.6994 5.4144
O 5.0112 6.1312 7.5134
O 5.1363 5.6818 3.2300
```

5.
Structure and theoretical powder diffractogram of LiFe8B8O24 (the PBE+U geometry in the Materials Project; copper Kα).
Neutral-atom scattering factors, no anomalous dispersion.

Principal peaks in the range 2θ = 10–90°, in order of falling intensity:
hkl 1 1 -2, d = 3.401 Å, I = 100
hkl 0 2 1, d = 4.174 Å, I = 75
hkl 1 -1 0, d = 4.507 Å, I = 71
hkl 0 0 4, d = 2.545 Å, I = 60
hkl 2 0 0, d = 2.615 Å, I = 45
hkl -1 1 1, d = 4.121 Å, I = 43
hkl 0 2 0, d = 4.573 Å, I = 36
hkl 1 3 -2, d = 2.352 Å, I = 21
hkl 1 5 -1, d = 1.710 Å, I = 20
hkl 1 3 0, d = 2.653 Å, I = 19

Structural model:
```
41
Lattice="5.2372 0.0000 0.0000 0.1679 9.1336 0.0000 0.0254 0.0074 10.1818" Properties=species:S:1:pos:R:3 pbc="T T T"
Li 0.0000 0.0000 0.0000
Fe 0.1943 6.0697 9.8555
Fe 0.1788 3.0806 4.7651
Fe 1.9775 6.2071 7.3130
Fe 1.9113 0.1501 2.2945
Fe 2.7238 1.6611 9.8827
Fe 2.8226 7.6456 4.7555
Fe 4.5467 4.6448 2.2363
Fe 4.5306 1.6158 7.2853
B 0.1350 3.1200 9.8538
B 0.2328 6.1521 4.7796
B 1.9125 6.1501 2.2267
B 1.8965 0.0698 7.3593
B 2.8384 7.7354 9.8151
B 2.8052 1.5714 4.8200
B 4.4626 1.6546 2.1210
B 4.5755 4.6260 7.3216
O 0.2053 5.5724 7.8943
O 0.6209 6.0613 1.6538
O 0.5514 0.2405 7.4347
O 1.4729 3.0417 9.8379
O 1.5201 6.2140 5.3279
O 1.9988 6.7288 9.3230
O 1.9885 2.6519 4.8656
O 2.1954 8.9166 0.0253
O 2.2774 7.3433 2.8369
O 2.3555 0.3635 4.3258
O 2.6236 8.0319 6.8395
O 2.7498 5.0917 2.1700
O 2.7549 1.0606 7.8526
O 3.1413 1.6998 1.6327
O 3.2521 4.8512 7.2657
O 4.2002 7.5616 9.8889
O 4.1273 1.6391 5.2900
O 4.6316 7.2015 4.8153
O 4.5941 2.0447 9.3754
O 4.6897 4.2601 0.1505
O 4.9218 2.8040 2.8007
O 5.0839 4.9335 4.1928
O 5.1487 3.4482 6.8303
O 5.2395 0.6009 1.8546
```

6.
Structure and theoretical powder diffractogram of LiFe2B2O6 (the PBE+U geometry in the Materials Project; copper Kα).
Neutral-atom scattering factors, no anomalous dispersion.

Principal peaks in the range 2θ = 10–90°, in order of falling intensity:
hkl 0 0 4, d = 2.573 Å, I = 100
hkl 0 1 1, d = 4.145 Å, I = 79
hkl 0 1 -2, d = 3.457 Å, I = 71
hkl 1 -1 0, d = 4.507 Å, I = 69
hkl 1 0 1, d = 4.113 Å, I = 66
hkl 2 0 -1, d = 2.239 Å, I = 46
hkl 1 0 0, d = 4.559 Å, I = 40
hkl 2 -1 0, d = 2.608 Å, I = 37
hkl 1 1 0, d = 2.644 Å, I = 32
hkl 1 0 2, d = 3.356 Å, I = 31

Structural model:
```
22
Lattice="5.2172 0.0000 0.0000 -2.5524 4.5701 0.0000 -0.2622 -0.2166 10.2925" Properties=species:S:1:pos:R:3 pbc="T T T"
Li 0.0000 0.0000 0.0000
Li 0.7228 1.2042 7.5694
Fe -0.1666 2.7440 10.0454
Fe 2.4908 1.3289 4.6315
Fe 0.7327 4.3024 7.3298
Fe 3.3520 2.9392 2.2619
B -0.1333 2.8647 4.8763
B 0.8343 4.4534 2.1511
B 2.3985 1.2383 9.7531
B 3.3427 2.7916 7.3250
O -1.4585 2.7969 4.5097
O -0.5083 2.7828 7.6104
O 0.6935 1.7907 4.8901
O 0.0553 3.3800 1.7743
O 1.0270 1.1759 9.6109
O 0.3627 4.1205 5.3311
O 2.7517 1.0049 2.7366
O 3.1609 0.0930 9.3579
O 2.7025 1.5896 6.9993
O 3.0317 2.3622 10.2215
O 2.1757 4.4833 1.9139
O 2.6172 3.9591 7.3915
```

7.
Structure and theoretical powder diffractogram of LiFe2B2O6 (the PBE+U geometry in the Materials Project; copper Kα).
Neutral-atom scattering factors, no anomalous dispersion.

Principal peaks in the range 2θ = 10–90°, in order of falling intensity:
hkl 0 0 4, d = 2.585 Å, I = 100
hkl 1 1 1, d = 4.136 Å, I = 98
hkl 0 2 0, d = 4.468 Å, I = 86
hkl 1 3 0, d = 2.595 Å, I = 71
hkl 1 1 -2, d = 3.444 Å, I = 65
hkl 0 2 1, d = 4.102 Å, I = 54
hkl 1 1 2, d = 3.385 Å, I = 48
hkl 2 2 -1, d = 2.229 Å, I = 42
hkl 1 1 0, d = 4.547 Å, I = 41
hkl 3 3 0, d = 1.516 Å, I = 40

Structural model:
```
44
Lattice="5.2832 0.0000 0.0000 0.0000 8.9365 0.0000 -0.2101 0.0000 10.3402" Properties=species:S:1:pos:R:3 pbc="T T T"
Li 0.0000 0.0418 0.0000
Li -0.1050 8.8947 5.1701
Li 3.4597 0.0823 7.7596
Li 3.5648 8.8542 2.5895
Fe -0.0908 3.0048 5.5745
Fe 0.0142 5.9317 0.4044
Fe 0.9688 1.5641 2.9321
Fe 0.8637 7.3724 8.1022
Fe 2.5910 1.5926 0.3385
Fe 2.4860 7.3439 5.5086
Fe 3.4086 3.0495 8.0663
Fe 3.5136 5.8870 2.8962
B 0.7134 1.4756 8.0967
B 0.8184 7.4609 2.9266
B 2.6049 1.4967 5.6349
B 2.7100 7.4398 0.4648
B 3.5553 2.9064 3.0085
B 3.4502 6.0301 8.1786
B 5.2743 2.9423 0.3067
B 5.1692 5.9942 5.4768
O 0.0338 2.5965 7.6253
O 0.1388 6.3400 2.4552
O 0.0368 0.3024 8.3173
O 0.1418 8.6341 3.1472
O 0.5539 4.1615 0.5060
O 0.4489 4.7750 5.6761
O 0.6269 1.7712 0.7531
O 0.5218 7.1653 5.9232
O 1.2701 1.5539 5.2419
O 1.3752 7.3826 0.0718
O 2.0853 1.5538 8.3813
O 2.1904 7.3827 3.2112
O 2.9310 1.7559 2.5111
O 2.8260 7.1806 7.6812
O 2.9663 4.1162 2.8635
O 2.8613 4.8203 8.0336
O 3.2594 2.6659 6.0344
O 3.3644 6.2706 0.8643
O 3.2921 0.3041 5.6570
O 3.3971 8.6324 0.4869
O 3.8391 2.7781 10.0006
O 3.9442 6.1584 4.8305
O 4.7801 2.7434 3.6431
O 4.6751 6.1931 8.8132
```